No. 1
Simulated X-ray diffraction stick pattern
Compound: NdDy3Ho2Te6
Radiation: Cu Kα
Structure: the PBE geometry in Alexandria
No peak broadening, texture or thermal motion is included.

Principal peaks in the range 2θ = 5–70°, sorted by position:
2θ (°)	d/Å	Rel. int.
28.9	3.092	100
41.0	2.199	13
41.1	2.195	25
41.5	2.178	25
41.6	2.172	13
51.4	1.778	13
59.8	1.546	12
67.5	1.388	11

Crystal structure
Lattice parameters (Å, degrees): 19.028 4.344 8.798 90.00 102.72 90.00
Space group C2/m (No. 12)
Asymmetric unit:
Nd  0.000  0.000  0.000 [2 per cell]
Dy  0.000  0.000  0.500 [2 per cell]
Dy  0.161  0.500  0.834 [4 per cell]
Ho  0.164  0.500  0.330 [4 per cell]
Te  0.002  0.500  0.259 [4 per cell]
Te  0.168  0.000  0.584 [4 per cell]
Te  0.172  0.000  0.088 [4 per cell]

***

No. 2
Simulated X-ray diffraction stick pattern
Compound: Nd2DyHo3Te6
Radiation: Cu Kα
Structure: the PBE geometry in Alexandria
No peak broadening, texture or thermal motion is included.

Principal peaks in the range 2θ = 5–70°, sorted by position:
2θ (°)	d/Å	Rel. int.
28.7	3.107	100
40.7	2.215	13
40.9	2.207	25
41.3	2.188	25
41.5	2.178	12
51.2	1.784	13
59.5	1.554	12
67.1	1.395	11

Crystal structure
Lattice parameters (Å, degrees): 19.226 4.356 8.861 90.00 104.02 90.00
Space group C2/m (No. 12)
Asymmetric unit:
Nd  0.170  0.000  0.337 [4 per cell]
Dy  0.000  0.500  0.000 [2 per cell]
Ho  0.000  0.500  0.500 [2 per cell]
Ho  0.172  0.000  0.835 [4 per cell]
Te  0.004  0.000  0.751 [4 per cell]
Te  0.162  0.500  0.591 [4 per cell]
Te  0.165  0.500  0.074 [4 per cell]

***

No. 3
Simulated X-ray diffraction stick pattern
Compound: Nd6DyHo2Th
Radiation: Cu Kα
Structure: the PBE geometry in Alexandria
No peak broadening, texture or thermal motion is included.

Principal peaks in the range 2θ = 5–70°, sorted by position:
2θ (°)	d/Å	Rel. int.
27.5	3.248	27
28.2	3.159	58
29.7	3.012	58
30.2	2.958	62
30.8	2.900	78
31.2	2.868	100
32.2	2.780	32
33.4	2.684	33

Crystal structure
Lattice parameters (Å, degrees): 9.384 15.066 9.740 90.00 97.77 90.00
Space group C2/c (No. 15)
Asymmetric unit:
Nd  0.065  0.175  0.442 [8 per cell]
Nd  0.094  0.392  0.618 [8 per cell]
Nd  0.208  0.218  0.812 [8 per cell]
Dy  0.000  0.408  0.250 [4 per cell]
Ho  0.245  0.045  0.051 [8 per cell]
Th  0.000  0.030  0.750 [4 per cell]

***

No. 4
Simulated X-ray diffraction stick pattern
Compound: Nd2DyHo2Th2
Radiation: Cu Kα
Structure: the PBE geometry in Alexandria
No peak broadening, texture or thermal motion is included.

Principal peaks in the range 2θ = 5–70°, sorted by position:
2θ (°)	d/Å	Rel. int.
27.7	3.221	89
30.4	2.936	100
30.7	2.916	94
32.0	2.794	82
33.8	2.653	89
35.9	2.499	73
38.6	2.333	39
63.0	1.476	43

Crystal structure
Lattice parameters (Å, degrees): 17.778 3.477 8.543 90.00 117.79 90.00
Space group C2/m (No. 12)
Asymmetric unit:
Nd  0.144  0.000  0.372 [4 per cell]
Dy  0.000  0.500  0.500 [2 per cell]
Ho  0.210  0.500  0.800 [4 per cell]
Th  0.066  0.000  0.905 [4 per cell]

***

No. 5
Simulated X-ray diffraction stick pattern
Compound: NdDy2Ho5Tm
Radiation: Cu Kα
Structure: the PBE geometry in Alexandria
No peak broadening, texture or thermal motion is included.

Principal peaks in the range 2θ = 5–70°, sorted by position:
2θ (°)	d/Å	Rel. int.
28.1	3.170	54
29.0	3.084	49
31.6	2.835	14
31.8	2.815	100
36.7	2.451	22
38.4	2.347	16
42.0	2.151	17
52.2	1.754	19

Crystal structure
Lattice parameters (Å, degrees): 8.966 8.966 14.470 90.00 90.00 90.00
Space group I4/mcm (No. 140)
Asymmetric unit:
Nd  0.000  0.000  0.250 [4 per cell]
Dy  0.112  0.388  0.000 [8 per cell]
Ho  0.000  0.000  0.000 [4 per cell]
Ho  0.205  0.295  0.369 [16 per cell]
Tm  0.000  0.500  0.250 [4 per cell]

***

No. 6
Simulated X-ray diffraction stick pattern
Compound: Nd3DyHo2Tm6
Radiation: Cu Kα
Structure: the PBE geometry in Alexandria
No peak broadening, texture or thermal motion is included.

Principal peaks in the range 2θ = 5–70°, sorted by position:
2θ (°)	d/Å	Rel. int.
30.9	2.898	100
31.1	2.876	33
35.9	2.505	67
51.4	1.776	24
51.8	1.766	24
61.2	1.514	14
61.3	1.511	28
61.6	1.505	14

Crystal structure
Lattice parameters (Å, degrees): 6.155 10.653 11.685 90.00 100.08 90.00
Space group C2/m (No. 12)
Asymmetric unit:
Nd  0.000  0.000  0.000 [2 per cell]
Nd  0.000  0.333  0.000 [4 per cell]
Dy  0.000  0.500  0.500 [2 per cell]
Ho  0.000  0.167  0.500 [4 per cell]
Tm  0.249  0.000  0.746 [4 per cell]
Tm  0.249  0.333  0.746 [8 per cell]